Ca2CoHg: computed powder XRD pattern (copper Kα), based on a crystal structure in Alexandria, relaxed with GGA-PBE.

Lattice parameters (Å, degrees): 3.5126 3.6120 7.4296 90.00 90.32 90.00
Space group P2/m (No. 10)
Asymmetric unit:
Ca  0.0014  0.0000  0.2789
Co  0.5000  0.5000  0.5000
Hg  0.5000  0.5000  0.0000

Peak list (8 most intense, 10 to 90 degrees two-theta, by angle)
index  2θ (°)  I/Imax
0 0 1  11.91  69.7
0 0 2  23.96  35.5
0 1 0  24.65  31.2
0 1 1  27.46  36.0
0 1 2  34.64  100.0
1 0 -2  35.06  48.4
1 0 2  35.26  47.5
1 1 0  35.65  95.4


PmBeCu3: computed powder XRD pattern (copper Kα), based on a crystal structure in Alexandria, relaxed with GGA-PBE.

Lattice parameters (Å, degrees): 5.9434 5.9434 10.2911 90.00 90.00 120.00
Space group P6_3/mmc (No. 194)
Asymmetric unit:
Pm  0.0000  0.0000  0.0000
Pm  0.3333  0.6667  0.2500
Be  0.3333  0.6667  0.6415
Cu  0.0000  0.5000  0.0000
Cu  0.1431  0.2862  0.7500

Peak list (8 most intense, 10 to 90 degrees two-theta, by angle)
index  2θ (°)  I/Imax
0 0 4  34.87  48.4
2 0 1  35.97  36.7
2 0 2  39.14  100.0
2 0 3  43.98  22.5
2 0 4  50.13  18.7
2 2 0  62.51  19.2
2 0 6  65.39  21.7
0 0 8  73.62  30.7